(1)
The following is a computed powder diffractogram of PrYCN2O2. It was derived from a crystal structure in OQMD, relaxed with PBE, using Cu Kα, 1.54184 Å.
Peak positions follow from Bragg's law for the DFT cell and can differ from measured ones.

The 10 most intense peaks (2θ = 10–90°), sorted by position:
index, two_theta, d_spacing, I_rel
0 0 1, 10.70, 8.266, 52
0 0 2, 21.50, 4.133, 19
1 0 0, 26.96, 3.307, 18
0 1 1, 29.08, 3.071, 100
0 0 3, 32.50, 2.755, 17
1 0 2, 34.74, 2.582, 39
0 1 3, 42.71, 2.117, 24
1 1 0, 47.62, 1.909, 30
0 1 4, 52.19, 1.753, 24
1 1 3, 58.84, 1.569, 18

a = 3.8190 Å, b = 3.8190 Å, c = 8.2660 Å
α = 90.00°, β = 90.00°, γ = 120.00°
Space group P3m1 (No. 156)
Symmetry-distinct sites (fractional):
Pr 0.0000 0.0000 0.0000 [1 per cell]
Y 0.3333 0.6667 0.3594 [1 per cell]
C 0.6667 0.3333 0.6747 [1 per cell]
N 0.6667 0.3333 0.5255 [1 per cell]
N 0.6667 0.3333 0.8244 [1 per cell]
O 0.0000 0.0000 0.2919 [1 per cell]
O 0.3333 0.6667 0.0855 [1 per cell]


(2)
The following is a computed powder diffractogram of KTl3In3Ag4. It was derived from a crystal structure in OQMD, relaxed with PBE, using Cu Kα, 1.54184 Å.
Peak positions follow from Bragg's law for the DFT cell and can differ from measured ones.

The 10 most intense peaks (2θ = 10–90°), sorted by position:
index, two_theta, d_spacing, I_rel
1 0 0, 12.18, 7.265, 35
2 0 1, 31.17, 2.870, 100
2 1 0, 32.61, 2.746, 38
2 1 1, 37.99, 2.369, 80
0 0 2, 38.47, 2.340, 33
2 2 0, 43.13, 2.097, 22
2 1 2, 51.29, 1.781, 21
2 2 2, 59.15, 1.562, 18
5 0 1, 67.49, 1.388, 22
2 1 3, 69.24, 1.357, 22

a = 8.3895 Å, b = 8.3895 Å, c = 4.6807 Å
α = 90.00°, β = 90.00°, γ = 120.00°
Space group P-6m2 (No. 187)
Symmetry-distinct sites (fractional):
K 0.0000 0.0000 0.0000 [1 per cell]
Tl 0.3870 0.1935 0.5000 [3 per cell]
In 0.0696 0.5348 0.0000 [3 per cell]
Ag 0.2157 0.4313 0.5000 [3 per cell]
Ag 0.6667 0.3333 0.0000 [1 per cell]


(3)
The following is a computed powder diffractogram of CsGe5Pd3. It was derived from a crystal structure in OQMD, relaxed with PBE, using Cu Kα, 1.54184 Å.
Peak positions follow from Bragg's law for the DFT cell and can differ from measured ones.

The 10 most intense peaks (2θ = 10–90°), sorted by position:
index, two_theta, d_spacing, I_rel
0 0 1, 10.24, 8.635, 100
1 0 1, 21.47, 4.138, 40
1 0 2, 28.02, 3.184, 44
1 1 0, 32.90, 2.722, 38
2 0 0, 38.18, 2.357, 23
2 0 1, 39.63, 2.274, 20
0 0 4, 41.84, 2.159, 28
2 0 2, 43.75, 2.069, 99
2 2 0, 69.00, 1.361, 19
2 2 4, 84.07, 1.151, 22

a = 5.4441 Å, b = 5.4441 Å, c = 8.6354 Å
α = 90.00°, β = 90.00°, γ = 120.00°
Space group P6/mmm (No. 191)
Symmetry-distinct sites (fractional):
Cs 0.0000 0.0000 0.0000 [1 per cell]
Ge 0.0000 0.0000 0.5000 [1 per cell]
Ge 0.3333 0.6667 0.2554 [4 per cell]
Pd 0.0000 0.5000 0.5000 [3 per cell]


(4)
The following is a computed powder diffractogram of Sm3Sb5O12. It was derived from a crystal structure in OQMD, relaxed with PBE, using Cu Kα, 1.54184 Å.
Peak positions follow from Bragg's law for the DFT cell and can differ from measured ones.

The 10 most intense peaks (2θ = 10–90°), sorted by position:
index, two_theta, d_spacing, I_rel
1 1 0, 11.49, 7.705, 11
2 2 2, 28.38, 3.145, 100
4 0 0, 32.88, 2.724, 35
4 4 0, 47.19, 1.926, 44
6 2 2, 55.98, 1.643, 40
4 4 4, 58.71, 1.573, 9
8 0 0, 68.95, 1.362, 6
6 6 2, 76.17, 1.250, 14
8 4 0, 78.52, 1.218, 12
8 4 4, 87.77, 1.112, 10

a = 10.896 Å, b = 10.896 Å, c = 10.896 Å
α = 90.00°, β = 90.00°, γ = 90.00°
Space group I-43m (No. 217)
Symmetry-distinct sites (fractional):
Sm 0.000 0.250 0.500 [12 per cell]
Sb 0.000 0.000 0.277 [12 per cell]
Sb 0.243 0.243 0.757 [8 per cell]
O 0.101 0.101 0.610 [24 per cell]
O 0.138 0.138 0.337 [24 per cell]


Q: What is the formula in the second record?
A: KTl3In3Ag4